(1)
PrDy2Y: calculated XRD peak list (Cu Kα), based on a cell relaxed with PBE.
Intensities are scaled so that the largest is 100.

Atomic structure:
a b c (Å): 3.6693 11.4929 6.3064
angles (deg): 90.00 90.00 90.00
Atoms (fractional coordinates):
1 Pr 0.0000 0.0000 0.0000
2 Pr 0.5000 0.5000 0.5000
3 Dy 0.0000 0.2483 0.6635
4 Dy 0.0000 0.7517 0.6635
5 Dy 0.5000 0.2517 0.1635
6 Dy 0.5000 0.7483 0.1635
7 Y 0.0000 0.5000 0.9972
8 Y 0.5000 0.0000 0.4972

The 12 most intense peaks (10° ≤ 2θ ≤ 90°), low angle first:
2θ 28.14, I 25; 2θ 28.30, I 13; 2θ 31.13, I 36; 2θ 32.24, I 100; 2θ 32.39, I 48; 2θ 42.45, I 16; 2θ 49.69, I 10; 2θ 50.00, I 19; 2θ 56.12, I 31; 2θ 59.81, I 11; 2θ 60.08, I 22; 2θ 60.57, I 16


(2)
Pr8Dy3Y2: calculated XRD peak list (Cu Kα), based on a cell relaxed with PBE.
Intensities are scaled so that the largest is 100.

Atomic structure:
a b c (Å): 7.7651 5.7950 11.0140
angles (deg): 90.00 110.61 90.00
Atoms (fractional coordinates):
1 Pr 0.0994 0.0000 0.2895
2 Pr 0.1729 0.5000 0.8455
3 Pr 0.3099 0.0000 0.7105
4 Pr 0.3693 0.5000 0.2388
5 Pr 0.6307 0.5000 0.7612
6 Pr 0.6901 0.0000 0.2895
7 Pr 0.8271 0.5000 0.1545
8 Pr 0.9006 0.0000 0.7105
9 Dy 0.2150 0.5000 0.5000
10 Dy 0.5000 0.0000 0.5000
11 Dy 0.7850 0.5000 0.5000
12 Y 0.2607 0.0000 0.0204
13 Y 0.7393 0.0000 0.9796

The 12 most intense peaks (10° ≤ 2θ ≤ 90°), low angle first:
2θ 24.50, I 19; 2θ 28.96, I 50; 2θ 30.24, I 33; 2θ 30.86, I 46; 2θ 32.75, I 100; 2θ 34.82, I 13; 2θ 34.94, I 12; 2θ 46.78, I 11; 2θ 47.25, I 22; 2θ 56.09, I 22; 2θ 62.96, I 13; 2θ 66.30, I 13


(3)
Pr3Dy2Y4: calculated XRD peak list (Cu Kα), based on a cell relaxed with PBE.
Intensities are scaled so that the largest is 100.

Atomic structure:
a b c (Å): 10.2566 10.2566 6.1053
angles (deg): 96.34 96.34 70.27
Atoms (fractional coordinates):
1 Pr 0.1065 0.8935 0.7500
2 Pr 0.2219 0.4441 0.9172
3 Pr 0.4441 0.2219 0.4172
4 Pr 0.5559 0.7781 0.5828
5 Pr 0.7781 0.5559 0.0828
6 Pr 0.8935 0.1065 0.2500
7 Dy 0.0183 0.7524 0.1861
8 Dy 0.2476 0.9817 0.3139
9 Dy 0.7524 0.0183 0.6861
10 Dy 0.9817 0.2476 0.8139
11 Y 0.0894 0.3441 0.3581
12 Y 0.3180 0.5800 0.4784
13 Y 0.3441 0.0894 0.8581
14 Y 0.4200 0.6820 0.0216
15 Y 0.5800 0.3180 0.9784
16 Y 0.6559 0.9106 0.1419
17 Y 0.6820 0.4200 0.5216
18 Y 0.9106 0.6559 0.6419

The 12 most intense peaks (10° ≤ 2θ ≤ 90°), low angle first:
2θ 29.84, I 51; 2θ 30.28, I 100; 2θ 31.59, I 89; 2θ 36.95, I 31; 2θ 37.31, I 26; 2θ 48.49, I 11; 2θ 48.78, I 14; 2θ 49.98, I 12; 2θ 50.82, I 12; 2θ 54.63, I 16; 2θ 54.85, I 27; 2θ 65.97, I 9


(4)
Pr4Dy4Y3: calculated XRD peak list (Cu Kα), based on a cell relaxed with PBE.
Intensities are scaled so that the largest is 100.

Atomic structure:
a b c (Å): 20.1269 20.1269 5.1039
angles (deg): 97.28 97.28 10.31
Atoms (fractional coordinates):
1 Pr 0.0463 0.0463 0.0457
2 Pr 0.3176 0.3176 0.3178
3 Pr 0.6824 0.6824 0.6822
4 Pr 0.9537 0.9537 0.9543
5 Dy 0.2277 0.2277 0.2277
6 Dy 0.4083 0.4083 0.4092
7 Dy 0.5917 0.5917 0.5908
8 Dy 0.7723 0.7723 0.7723
9 Y 0.1362 0.1362 0.1357
10 Y 0.5000 0.5000 0.5000
11 Y 0.8638 0.8638 0.8643

The 12 most intense peaks (10° ≤ 2θ ≤ 90°), low angle first:
2θ 30.29, I 100; 2θ 35.12, I 51; 2θ 50.46, I 6; 2θ 50.52, I 30; 2θ 60.01, I 28; 2θ 60.10, I 14; 2θ 63.00, I 6; 2θ 63.02, I 6; 2θ 82.19, I 9; 2θ 82.26, I 9; 2θ 84.80, I 11; 2θ 84.94, I 5


(5)
Pr7DyY3: calculated XRD peak list (Cu Kα), based on a cell relaxed with PBE.
Intensities are scaled so that the largest is 100.

Atomic structure:
a b c (Å): 7.2637 7.2637 8.7881
angles (deg): 90.00 90.00 120.00
Atoms (fractional coordinates):
1 Pr 0.0000 0.0000 0.0000
2 Pr 0.1666 0.3333 0.6684
3 Pr 0.1666 0.8334 0.6684
4 Pr 0.5004 0.0008 0.0171
5 Pr 0.5004 0.4996 0.0171
6 Pr 0.6667 0.8334 0.6684
7 Pr 0.9992 0.4996 0.0171
8 Dy 0.6667 0.3333 0.6830
9 Y 0.3350 0.1675 0.3448
10 Y 0.8325 0.1675 0.3448
11 Y 0.8325 0.6650 0.3448

The 12 most intense peaks (10° ≤ 2θ ≤ 90°), low angle first:
2θ 10.07, I 15; 2θ 30.18, I 100; 2θ 30.52, I 30; 2θ 35.09, I 65; 2θ 50.24, I 23; 2θ 50.68, I 23; 2θ 59.74, I 14; 2θ 59.93, I 26; 2θ 60.33, I 13; 2θ 62.75, I 12; 2θ 81.75, I 12; 2θ 84.41, I 10


(6)
Pr4Dy3Y3: calculated XRD peak list (Cu Kα), based on a cell relaxed with PBE.
Intensities are scaled so that the largest is 100.

Atomic structure:
a b c (Å): 3.8466 9.3841 9.3841
angles (deg): 89.94 90.00 90.00
Atoms (fractional coordinates):
1 Pr 0.0000 0.0000 0.0000
2 Pr 0.0000 0.2631 0.2631
3 Pr 0.0000 0.4975 0.7619
4 Pr 0.0000 0.7619 0.4975
5 Dy 0.5000 0.2985 0.9633
6 Dy 0.5000 0.4630 0.4630
7 Dy 0.5000 0.9633 0.2985
8 Y 0.0000 0.1301 0.6310
9 Y 0.0000 0.6310 0.1301
10 Y 0.5000 0.7987 0.7987

The 12 most intense peaks (10° ≤ 2θ ≤ 90°), low angle first:
2θ 13.34, I 13; 2θ 30.10, I 62; 2θ 31.55, I 100; 2θ 38.35, I 13; 2θ 40.80, I 10; 2θ 41.91, I 8; 2θ 46.35, I 13; 2θ 47.26, I 10; 2θ 55.36, I 14; 2θ 57.07, I 15; 2θ 58.11, I 20; 2θ 77.91, I 7


(7)
Pr3Dy2Y7: calculated XRD peak list (Cu Kα), based on a cell relaxed with PBE.
Intensities are scaled so that the largest is 100.

Atomic structure:
a b c (Å): 5.8895 3.6001 18.9603
angles (deg): 90.00 93.08 90.00
Atoms (fractional coordinates):
1 Pr 0.0000 0.0000 0.0000
2 Pr 0.2777 0.5000 0.6342
3 Pr 0.7223 0.5000 0.3658
4 Dy 0.2108 0.0000 0.2925
5 Dy 0.7892 0.0000 0.7075
6 Y 0.1899 0.5000 0.1441
7 Y 0.2429 0.0000 0.4621
8 Y 0.3068 0.0000 0.8234
9 Y 0.5000 0.5000 0.0000
10 Y 0.6932 0.0000 0.1766
11 Y 0.7571 0.0000 0.5379
12 Y 0.8101 0.5000 0.8559

The 12 most intense peaks (10° ≤ 2θ ≤ 90°), low angle first:
2θ 28.28, I 25; 2θ 30.37, I 63; 2θ 30.51, I 42; 2θ 30.87, I 100; 2θ 31.21, I 44; 2θ 31.43, I 48; 2θ 32.06, I 19; 2θ 32.93, I 38; 2θ 34.37, I 45; 2θ 50.72, I 22; 2θ 53.68, I 44; 2θ 60.33, I 20


(8)
PrDy2Y6: calculated XRD peak list (Cu Kα), based on a cell relaxed with PBE.
Intensities are scaled so that the largest is 100.

Atomic structure:
a b c (Å): 7.6922 7.6922 7.6922
angles (deg): 57.47 57.47 57.47
Atoms (fractional coordinates):
1 Pr 0.0000 0.0000 0.0000
2 Dy 0.5602 0.5602 0.5602
3 Dy 0.7358 0.7358 0.7358
4 Y 0.0541 0.0540 0.5357
5 Y 0.0541 0.5357 0.0541
6 Y 0.2675 0.2675 0.7028
7 Y 0.2675 0.7028 0.2675
8 Y 0.5357 0.0541 0.0540
9 Y 0.7028 0.2675 0.2675

The 12 most intense peaks (10° ≤ 2θ ≤ 90°), low angle first:
2θ 24.07, I 33; 2θ 27.88, I 55; 2θ 28.25, I 100; 2θ 29.40, I 22; 2θ 33.64, I 86; 2θ 36.54, I 87; 2θ 42.36, I 18; 2θ 43.45, I 25; 2θ 49.28, I 50; 2θ 57.58, I 30; 2θ 60.41, I 22; 2θ 66.97, I 18


(9)
PrDy2Y3: calculated XRD peak list (Cu Kα), based on a cell relaxed with PBE.
Intensities are scaled so that the largest is 100.

Atomic structure:
a b c (Å): 6.6800 6.6800 8.9928
angles (deg): 98.40 98.40 95.10
Atoms (fractional coordinates):
1 Pr 0.1001 0.8999 0.7500
2 Pr 0.8999 0.1001 0.2500
3 Dy 0.1274 0.6236 0.3759
4 Dy 0.3764 0.8726 0.1241
5 Dy 0.6236 0.1274 0.8759
6 Dy 0.8726 0.3764 0.6241
7 Y 0.1578 0.3227 0.9910
8 Y 0.3227 0.1578 0.4910
9 Y 0.4294 0.5706 0.7500
10 Y 0.5706 0.4294 0.2500
11 Y 0.6773 0.8422 0.5090
12 Y 0.8422 0.6773 0.0090

The 12 most intense peaks (10° ≤ 2θ ≤ 90°), low angle first:
2θ 31.30, I 100; 2θ 31.39, I 51; 2θ 31.52, I 94; 2θ 31.75, I 47; 2θ 44.94, I 20; 2θ 45.11, I 17; 2θ 45.22, I 17; 2θ 52.09, I 12; 2θ 55.93, I 25; 2θ 56.07, I 20; 2θ 56.41, I 27; 2θ 62.18, I 33


(10)
PrDy4Y2: calculated XRD peak list (Cu Kα), based on a cell relaxed with PBE.
Intensities are scaled so that the largest is 100.

Atomic structure:
a b c (Å): 3.6024 3.6024 20.2006
angles (deg): 90.00 90.00 120.00
Atoms (fractional coordinates):
1 Pr 0.0000 0.0000 0.0000
2 Dy 0.3333 0.6667 0.2887
3 Dy 0.3333 0.6667 0.5714
4 Dy 0.6667 0.3333 0.1481
5 Dy 0.6667 0.3333 0.8541
6 Y 0.0000 0.0000 0.4311
7 Y 0.0000 0.0000 0.7132

The 12 most intense peaks (10° ≤ 2θ ≤ 90°), low angle first:
2θ 28.96, I 46; 2θ 29.98, I 14; 2θ 30.99, I 49; 2θ 31.61, I 100; 2θ 33.77, I 82; 2θ 39.38, I 22; 2θ 50.68, I 37; 2θ 54.08, I 23; 2θ 58.30, I 16; 2θ 60.60, I 43; 2θ 60.97, I 15; 2θ 86.41, I 16


(11)
PrDy2Y5: calculated XRD peak list (Cu Kα), based on a cell relaxed with PBE.
Intensities are scaled so that the largest is 100.

Atomic structure:
a b c (Å): 6.7672 9.2679 9.2769
angles (deg): 86.12 72.29 72.22
Atoms (fractional coordinates):
1 Pr 0.1276 0.2288 0.3945
2 Pr 0.8724 0.7712 0.6055
3 Dy 0.1271 0.3954 0.7295
4 Dy 0.3760 0.8535 0.5201
5 Dy 0.6240 0.1465 0.4799
6 Dy 0.8729 0.6046 0.2705
7 Y 0.1226 0.8959 0.2283
8 Y 0.1266 0.7286 0.8981
9 Y 0.3734 0.3554 0.0198
10 Y 0.3760 0.0216 0.8540
11 Y 0.3757 0.5225 0.3537
12 Y 0.6243 0.4775 0.6463
13 Y 0.6240 0.9784 0.1460
14 Y 0.6266 0.6446 0.9802
15 Y 0.8734 0.2714 0.1019
16 Y 0.8774 0.1041 0.7717

The 12 most intense peaks (10° ≤ 2θ ≤ 90°), low angle first:
2θ 28.19, I 25; 2θ 31.39, I 24; 2θ 32.35, I 100; 2θ 42.69, I 15; 2θ 49.90, I 19; 2θ 56.49, I 20; 2θ 60.15, I 22; 2θ 60.71, I 11; 2θ 60.77, I 5; 2θ 82.31, I 8; 2θ 82.41, I 6; 2θ 86.61, I 5


(12)
Pr4Dy3Y8: calculated XRD peak list (Cu Kα), based on a cell relaxed with PBE.
Intensities are scaled so that the largest is 100.

Atomic structure:
a b c (Å): 12.5806 12.5806 12.5806
angles (deg): 32.41 32.41 32.41
Atoms (fractional coordinates):
1 Pr 0.0000 0.0000 0.0000
2 Pr 0.1638 0.1638 0.1638
3 Pr 0.5000 0.5000 0.5000
4 Pr 0.8362 0.8362 0.8362
5 Dy 0.0000 0.5000 0.5000
6 Dy 0.5000 0.0000 0.5000
7 Dy 0.5000 0.5000 0.0000
8 Y 0.2498 0.2498 0.7474
9 Y 0.2498 0.7474 0.2498
10 Y 0.2526 0.7502 0.7502
11 Y 0.2552 0.2552 0.2552
12 Y 0.7448 0.7448 0.7448
13 Y 0.7474 0.2498 0.2498
14 Y 0.7502 0.2526 0.7502
15 Y 0.7502 0.7502 0.2526

The 12 most intense peaks (10° ≤ 2θ ≤ 90°), low angle first:
2θ 26.47, I 31; 2θ 29.51, I 46; 2θ 30.01, I 63; 2θ 31.07, I 100; 2θ 34.09, I 21; 2θ 34.33, I 22; 2θ 35.73, I 74; 2θ 50.73, I 23; 2θ 52.10, I 41; 2θ 60.07, I 17; 2θ 61.30, I 49; 2θ 85.54, I 20


(13)
Pr4Dy4Y: calculated XRD peak list (Cu Kα), based on a cell relaxed with PBE.
Intensities are scaled so that the largest is 100.

Atomic structure:
a b c (Å): 5.7209 6.7744 9.0053
angles (deg): 68.60 71.63 89.92
Atoms (fractional coordinates):
1 Pr 0.1341 0.3092 0.2338
2 Pr 0.2803 0.8436 0.9395
3 Pr 0.7197 0.1564 0.0605
4 Pr 0.8659 0.6908 0.7662
5 Dy 0.0719 0.7670 0.3578
6 Dy 0.3778 0.4230 0.7429
7 Dy 0.6222 0.5770 0.2571
8 Dy 0.9281 0.2330 0.6422
9 Y 0.5000 0.0000 0.5000

The 12 most intense peaks (10° ≤ 2θ ≤ 90°), low angle first:
2θ 30.66, I 60; 2θ 31.13, I 100; 2θ 31.27, I 39; 2θ 35.38, I 10; 2θ 43.84, I 9; 2θ 44.59, I 11; 2θ 44.77, I 11; 2θ 54.83, I 12; 2θ 55.33, I 11; 2θ 55.55, I 11; 2θ 55.66, I 14; 2θ 65.24, I 9